[1]
Starting from a DFT-relaxed cell (GGA-PBE, the Materials Project), the X-ray powder pattern of BaSi2Ni2 was computed for Cu Kα, 1.54184 Å.
Intensities are scaled so that the largest is 100.

Largest 8 diffraction maxima, in order of rising 2θ, 2θ from 10° to 90°:
- 22.86 deg, intensity 79
- 31.29 deg, intensity 55
- 31.65 deg, intensity 67
- 31.93 deg, intensity 100
- 37.05 deg, intensity 48
- 43.77 deg, intensity 44
- 54.78 deg, intensity 31
- 55.92 deg, intensity 28

Lattice parameters (Å, degrees): 4.2142 4.2142 11.4348 90.00 90.00 78.97
Fractional positions:
Ba 0.2038 0.7962 0.7500
Ba 0.7962 0.2038 0.2500
Si 0.3113 0.6887 0.0668
Si 0.3113 0.6887 0.4332
Si 0.6887 0.3113 0.5668
Si 0.6887 0.3113 0.9332
Ni 0.2045 0.2045 0.0000
Ni 0.2045 0.2045 0.5000
Ni 0.7955 0.7955 0.0000
Ni 0.7955 0.7955 0.5000


[2]
Starting from a DFT-relaxed cell (GGA-PBE, the Materials Project), the X-ray powder pattern of Rb2Sn3Sb2S10 was computed for Cu Kα, 1.54184 Å.
Intensities are scaled so that the largest is 100.

Largest 8 diffraction maxima, in order of rising 2θ, 2θ from 10° to 90°:
- 14.19 deg, intensity 61
- 18.09 deg, intensity 73
- 23.27 deg, intensity 91
- 23.88 deg, intensity 53
- 25.74 deg, intensity 45
- 26.22 deg, intensity 53
- 29.06 deg, intensity 100
- 37.03 deg, intensity 39

Lattice parameters (Å, degrees): 7.0545 13.6804 12.0904 90.00 119.41 90.00
Fractional positions:
Rb 0.0421 0.1699 0.1623
Rb 0.0421 0.3301 0.6623
Rb 0.9579 0.6699 0.3377
Rb 0.9579 0.8301 0.8377
Sn 0.0000 0.0000 0.5000
Sn 0.0000 0.5000 0.0000
Sn 0.3901 0.0538 0.8475
Sn 0.3901 0.4462 0.3475
Sn 0.6099 0.5538 0.6525
Sn 0.6099 0.9462 0.1525
Sb 0.4906 0.1468 0.5939
Sb 0.4906 0.3532 0.0939
Sb 0.5094 0.6468 0.9061
Sb 0.5094 0.8532 0.4061
S 0.0008 0.0548 0.7073
S 0.0008 0.4452 0.2073
S 0.0947 0.1744 0.4633
S 0.0947 0.3256 0.9633
S 0.4239 0.1010 0.0584
S 0.4239 0.3990 0.5584
S 0.4245 0.5259 0.1297
S 0.4245 0.9741 0.6297
S 0.4380 0.6958 0.6859
S 0.4380 0.8042 0.1859
S 0.5620 0.1958 0.8141
S 0.5620 0.3042 0.3141
S 0.5755 0.0259 0.3703
S 0.5755 0.4741 0.8703
S 0.5761 0.6010 0.4416
S 0.5761 0.8990 0.9416
S 0.9053 0.6744 0.0367
S 0.9053 0.8256 0.5367
S 0.9992 0.5548 0.7927
S 0.9992 0.9452 0.2927


[3]
Starting from a DFT-relaxed cell (GGA-PBE, the Materials Project), the X-ray powder pattern of Ca3Hg was computed for Cu Kα, 1.54184 Å.
Intensities are scaled so that the largest is 100.

Largest 8 diffraction maxima, in order of rising 2θ, 2θ from 10° to 90°:
- 16.93 deg, intensity 79
- 17.23 deg, intensity 73
- 19.01 deg, intensity 100
- 23.94 deg, intensity 54
- 29.36 deg, intensity 58
- 31.17 deg, intensity 97
- 34.50 deg, intensity 51
- 35.37 deg, intensity 44

Lattice parameters (Å, degrees): 7.9706 10.2918 6.9483 90.00 90.00 90.00
Fractional positions:
Ca 0.0296 0.2500 0.1361
Ca 0.1794 0.0597 0.6617
Ca 0.1794 0.4403 0.6617
Ca 0.3206 0.5597 0.1617
Ca 0.3206 0.9403 0.1617
Ca 0.4704 0.7500 0.6361
Ca 0.5296 0.2500 0.3639
Ca 0.6794 0.0597 0.8383
Ca 0.6794 0.4403 0.8383
Ca 0.8206 0.5597 0.3383
Ca 0.8206 0.9403 0.3383
Ca 0.9704 0.7500 0.8639
Hg 0.1186 0.7500 0.4439
Hg 0.3814 0.2500 0.9439
Hg 0.6186 0.7500 0.0561
Hg 0.8814 0.2500 0.5561


[4]
Starting from a DFT-relaxed cell (GGA-PBE, the Materials Project), the X-ray powder pattern of CuSb2O4 was computed for Cu Kα, 1.54184 Å.
Intensities are scaled so that the largest is 100.

Largest 8 diffraction maxima, in order of rising 2θ, 2θ from 10° to 90°:
- 19.92 deg, intensity 11
- 27.00 deg, intensity 100
- 28.32 deg, intensity 17
- 31.74 deg, intensity 27
- 36.56 deg, intensity 20
- 44.64 deg, intensity 26
- 51.90 deg, intensity 16
- 53.57 deg, intensity 22

Lattice parameters (Å, degrees): 8.9146 8.9146 5.8916 90.00 90.00 90.00
Fractional positions:
Cu 0.0000 0.5000 0.2500
Cu 0.0000 0.5000 0.7500
Cu 0.5000 0.0000 0.2500
Cu 0.5000 0.0000 0.7500
Sb 0.1523 0.1889 0.0000
Sb 0.1889 0.8477 0.5000
Sb 0.3111 0.3477 0.5000
Sb 0.3477 0.6889 0.0000
Sb 0.6523 0.3111 0.0000
Sb 0.6889 0.6523 0.5000
Sb 0.8111 0.1523 0.5000
Sb 0.8477 0.8111 0.0000
O 0.0912 0.3808 0.5000
O 0.1192 0.4088 0.0000
O 0.1964 0.6964 0.2500
O 0.1964 0.6964 0.7500
O 0.3036 0.1964 0.2500
O 0.3036 0.1964 0.7500
O 0.3808 0.9088 0.0000
O 0.4088 0.8808 0.5000
O 0.5912 0.1192 0.5000
O 0.6192 0.0912 0.0000
O 0.6964 0.8036 0.2500
O 0.6964 0.8036 0.7500
O 0.8036 0.3036 0.2500
O 0.8036 0.3036 0.7500
O 0.8808 0.5912 0.0000
O 0.9088 0.6192 0.5000


[5]
Starting from a DFT-relaxed cell (GGA-PBE, the Materials Project), the X-ray powder pattern of Na7MgCu3O8 was computed for Cu Kα, 1.54184 Å.
Intensities are scaled so that the largest is 100.

Largest 8 diffraction maxima, in order of rising 2θ, 2θ from 10° to 90°:
- 13.22 deg, intensity 34
- 15.85 deg, intensity 100
- 23.02 deg, intensity 58
- 25.55 deg, intensity 71
- 32.02 deg, intensity 33
- 39.79 deg, intensity 31
- 44.43 deg, intensity 43
- 47.11 deg, intensity 36

Lattice parameters (Å, degrees): 5.7872 6.7195 7.5364 106.65 110.34 92.18
Fractional positions:
Na 0.0000 0.0000 0.0000
Na 0.0271 0.1737 0.6594
Na 0.2423 0.3912 0.3541
Na 0.4135 0.8249 0.8175
Na 0.6515 0.1851 0.2447
Na 0.7976 0.6292 0.6005
Na 0.8537 0.3912 0.9177
Mg 0.3152 0.8067 0.2119
Cu 0.4571 0.0491 0.5501
Cu 0.4573 0.5036 0.0490
Cu 0.9390 0.7757 0.3051
O 0.1330 0.0476 0.3402
O 0.1409 0.6465 0.9272
O 0.2815 0.7567 0.4615
O 0.2880 0.2402 0.0044
O 0.6159 0.3028 0.5655
O 0.6205 0.8156 0.1483
O 0.7265 0.9852 0.7251
O 0.8038 0.4898 0.2366


[6]
Starting from a DFT-relaxed cell (GGA-PBE, the Materials Project), the X-ray powder pattern of LaDyRu2 was computed for Cu Kα, 1.54184 Å.
Intensities are scaled so that the largest is 100.

Largest 8 diffraction maxima, in order of rising 2θ, 2θ from 10° to 90°:
- 25.56 deg, intensity 4
- 36.47 deg, intensity 100
- 45.07 deg, intensity 1
- 52.53 deg, intensity 17
- 59.30 deg, intensity 2
- 65.63 deg, intensity 35
- 77.48 deg, intensity 11
- 88.80 deg, intensity 16

Lattice parameters (Å, degrees): 4.9277 4.9277 4.9277 60.00 60.00 60.00
Fractional positions:
La 0.0000 0.0000 0.0000
Dy 0.5000 0.5000 0.5000
Ru 0.2500 0.2500 0.2500
Ru 0.7500 0.7500 0.7500


[7]
Starting from a DFT-relaxed cell (GGA-PBE, the Materials Project), the X-ray powder pattern of Y3Lu was computed for Cu Kα, 1.54184 Å.
Intensities are scaled so that the largest is 100.

Largest 8 diffraction maxima, in order of rising 2θ, 2θ from 10° to 90°:
- 28.44 deg, intensity 24
- 31.59 deg, intensity 24
- 32.62 deg, intensity 100
- 43.02 deg, intensity 15
- 50.37 deg, intensity 19
- 56.92 deg, intensity 20
- 60.68 deg, intensity 22
- 61.31 deg, intensity 16

Lattice parameters (Å, degrees): 7.2467 7.2467 5.6640 90.00 90.00 120.00
Fractional positions:
Y 0.1678 0.3356 0.2500
Y 0.1678 0.8322 0.2500
Y 0.3356 0.1678 0.7500
Y 0.6644 0.8322 0.2500
Y 0.8322 0.1678 0.7500
Y 0.8322 0.6644 0.7500
Lu 0.3333 0.6667 0.7500
Lu 0.6667 0.3333 0.2500


[8]
Starting from a DFT-relaxed cell (GGA-PBE, the Materials Project), the X-ray powder pattern of CsZr6BI14 was computed for Cu Kα, 1.54184 Å.
Intensities are scaled so that the largest is 100.

Largest 8 diffraction maxima, in order of rising 2θ, 2θ from 10° to 90°:
- 10.47 deg, intensity 39
- 25.91 deg, intensity 39
- 26.96 deg, intensity 38
- 27.43 deg, intensity 83
- 28.46 deg, intensity 100
- 31.38 deg, intensity 33
- 32.31 deg, intensity 86
- 42.62 deg, intensity 45

Lattice parameters (Å, degrees): 11.0207 11.0207 13.2267 90.00 90.00 85.33
Fractional positions:
Cs 0.0000 0.0000 0.0000
Cs 0.5000 0.5000 0.5000
Zr 0.0427 0.1681 0.6081
Zr 0.1308 0.8692 0.5967
Zr 0.1681 0.0427 0.3919
Zr 0.3319 0.4573 0.8919
Zr 0.3692 0.6308 0.0967
Zr 0.4573 0.3319 0.1081
Zr 0.5427 0.6681 0.8919
Zr 0.6308 0.3692 0.9033
Zr 0.6681 0.5427 0.1081
Zr 0.8319 0.9573 0.6081
Zr 0.8692 0.1308 0.4033
Zr 0.9573 0.8319 0.3919
B 0.0000 0.0000 0.5000
B 0.5000 0.5000 0.0000
I 0.0356 0.2111 0.2530
I 0.1037 0.3963 0.7500
I 0.1114 0.6402 0.4932
I 0.1402 0.6113 0.9932
I 0.1544 0.8456 0.2426
I 0.2111 0.0356 0.7470
I 0.2486 0.2486 0.5000
I 0.2514 0.2514 0.0000
I 0.2889 0.4644 0.2470
I 0.3456 0.6544 0.7426
I 0.3598 0.8887 0.4932
I 0.3887 0.8598 0.9932
I 0.3963 0.1037 0.2500
I 0.4644 0.2889 0.7530
I 0.5356 0.7111 0.2470
I 0.6037 0.8963 0.7500
I 0.6113 0.1402 0.0068
I 0.6402 0.1113 0.5068
I 0.6544 0.3456 0.2574
I 0.7111 0.5356 0.7530
I 0.7486 0.7486 0.0000
I 0.7514 0.7514 0.5000
I 0.7889 0.9644 0.2530
I 0.8456 0.1544 0.7574
I 0.8598 0.3887 0.0068
I 0.8887 0.3598 0.5068
I 0.8963 0.6037 0.2500
I 0.9644 0.7889 0.7470